Starting from a DFT-relaxed cell (PBE+U, Alexandria), the X-ray diffraction stick pattern of Zn2Cr3O8 was calculated for copper Kα.
Lines closer than 0.1° are merged.

abc: 5.880 5.880 9.510
angles: 90.00 90.00 120.00
Atoms (fractional coordinates):
Zn  0.333  0.667  0.000
Zn  0.333  0.667  0.398
Zn  0.667  0.333  0.500
Zn  0.667  0.333  0.898
Cr  0.163  0.326  0.716
Cr  0.163  0.837  0.716
Cr  0.326  0.163  0.216
Cr  0.674  0.837  0.716
Cr  0.837  0.163  0.216
Cr  0.837  0.674  0.216
O  0.000  0.000  0.324
O  0.000  0.000  0.824
O  0.037  0.518  0.835
O  0.162  0.323  0.120
O  0.162  0.838  0.120
O  0.323  0.162  0.620
O  0.333  0.667  0.606
O  0.482  0.518  0.835
O  0.482  0.963  0.835
O  0.518  0.037  0.335
O  0.518  0.482  0.335
O  0.667  0.333  0.106
O  0.677  0.838  0.120
O  0.838  0.162  0.620
O  0.838  0.677  0.620
O  0.963  0.482  0.335

Largest 10 diffraction maxima, in order of rising 2θ, 2θ = 10–80°:
(0 0 2), 18.7 deg, rel. 25
(1 0 2), 25.6 deg, rel. 75
(1 0 3), 33.3 deg, rel. 79
(2 0 0), 35.3 deg, rel. 28
(1 1 2), 35.9 deg, rel. 100
(2 0 1), 36.5 deg, rel. 62
(1 0 5), 51.2 deg, rel. 26
(2 1 3), 55.9 deg, rel. 46
(2 0 5), 60.8 deg, rel. 61
(2 2 0), 63.3 deg, rel. 49